# Sr3FeAs2O8
Computed powder diffraction line list, Cu Kα, 1.54184 Å. Input: a PBE+U-relaxed structure.

Main lines, in order of rising 2θ (10° ≤ 2θ ≤ 80°):
d_spacing	Rel. int.	h k l
2.946	68	0 1 2
2.874	100	1 1 0
2.057	44	2 0 2
1.673	26	1 2 2
1.659	19	3 0 0
1.437	17	2 2 0

Structure:
```
data_Sr3FeAs2O8
_chemical_formula_sum 'Sr3 Fe1 As2 O8'
_symmetry_space_group_name_H-M 'P 1'
_symmetry_Int_Tables_number 1
_symmetry_space_group_name_Hall 'P 1'
_cell_length_a 5.748
_cell_length_b 5.748
_cell_length_c 7.310
_cell_angle_alpha 90.00
_cell_angle_beta 90.00
_cell_angle_gamma 120.00
loop_
_atom_site_label
_atom_site_fract_x
_atom_site_fract_y
_atom_site_fract_z
Sr1 0.000 0.000 0.000
Sr2 0.333 0.667 0.631
Sr3 0.667 0.333 0.369
Fe1 0.000 0.000 0.500
As1 0.333 0.667 0.200
As2 0.667 0.333 0.800
O1 0.164 0.328 0.329
O2 0.164 0.836 0.329
O3 0.328 0.164 0.671
O4 0.333 0.667 0.951
O5 0.667 0.333 0.049
O6 0.672 0.836 0.329
O7 0.836 0.164 0.671
O8 0.836 0.672 0.671
```